Entry 1:
Starting from a crystal structure in Alexandria, relaxed with GGA-PBE, the powder X-ray diffraction pattern of K2BeI4 was calculated for copper Kα.
Neutral-atom scattering factors, no anomalous dispersion.

a b c (Å): 8.2980 8.2980 11.8436
angles (deg): 90.00 90.00 90.00
Space group I-42m (No. 121)
Inequivalent atoms, fractional coordinates:
K  0.0000  0.5000  0.2500 [4 per cell]
Be  0.0000  0.0000  0.0000 [2 per cell]
I  0.1735  0.1735  0.1129 [8 per cell]

The 12 most intense peaks (10° ≤ 2θ ≤ 80°), by intensity:
(hkl)	2theta	I_rel
1 1 2	21.33	100
1 0 1	13.03	58
2 1 1	25.15	48
2 1 3	33.13	36
2 2 2	34.13	34
3 0 1	33.26	24
2 0 4	37.31	17
4 2 2	51.62	15
4 1 3	50.93	13
3 0 5	50.74	11
3 3 4	56.38	11
4 1 1	45.73	11

---

Entry 2:
Starting from a crystal structure in Alexandria, relaxed with GGA-PBE, the powder X-ray diffraction pattern of K2BeI4 was calculated for copper Kα.
Neutral-atom scattering factors, no anomalous dispersion.

a b c (Å): 7.7696 8.0339 9.8592
angles (deg): 90.00 108.16 90.00
Space group P2_1/m (No. 11)
Inequivalent atoms, fractional coordinates:
K  0.2132  0.2500  0.0485 [2 per cell]
K  0.2753  0.2500  0.5714 [2 per cell]
Be  0.2131  0.7500  0.7929 [2 per cell]
I  0.0131  0.5084  0.7380 [4 per cell]
I  0.3793  0.7500  0.0466 [2 per cell]
I  0.4082  0.7500  0.6413 [2 per cell]

The 12 most intense peaks (10° ≤ 2θ ≤ 80°), by intensity:
(hkl)	2theta	I_rel
1 2 0	25.24	100
0 2 2	29.31	95
2 0 -2	25.65	56
1 0 2	25.50	56
1 0 -4	36.47	36
1 1 -2	22.00	28
2 1 0	26.58	26
3 2 -2	42.25	23
2 2 0	32.95	19
2 2 2	42.09	19
0 4 0	45.14	18
2 2 -4	44.92	17

---

Entry 3:
Starting from a crystal structure in Alexandria, relaxed with GGA-PBE, the powder X-ray diffraction pattern of KBeTlI4 was calculated for copper Kα.
Neutral-atom scattering factors, no anomalous dispersion.

a b c (Å): 7.7957 7.9207 9.7983
angles (deg): 90.00 108.31 90.00
Space group P2_1/m (No. 11)
Inequivalent atoms, fractional coordinates:
K  0.2205  0.2500  0.0502 [2 per cell]
Be  0.2132  0.7500  0.7906 [2 per cell]
Tl  0.2650  0.2500  0.5682 [2 per cell]
I  0.0099  0.5065  0.7325 [4 per cell]
I  0.3731  0.7500  0.0463 [2 per cell]
I  0.4053  0.7500  0.6387 [2 per cell]

The 12 most intense peaks (10° ≤ 2θ ≤ 80°), by intensity:
(hkl)	2theta	I_rel
2 0 -2	25.62	100
0 2 2	29.63	86
1 2 0	25.51	57
2 1 -2	28.03	32
2 2 0	33.13	28
2 4 -2	53.24	26
1 1 1	20.81	21
1 0 -4	36.69	19
3 1 0	38.21	18
1 2 4	50.25	17
0 4 0	45.83	17
1 1 -1	16.97	16